Record 1
Structure and calculated X-ray diffraction stick pattern of TaAlP2SO12 (a crystal structure in the Materials Project, relaxed with PBE; Cu Kα (λ = 1.5418 Å)).
Peak positions follow from Bragg's law for the DFT cell and can differ from measured ones.

```
TaAlP2SO12
1.0
7.4370 -4.2717 0.0000
7.4370 4.2717 0.0000
-4.9264 0.0000 7.3424
Ta Al P S O
2 2 4 2 24
Direct
0.2418 0.7582 0.5000
0.7582 0.2418 0.0000
0.0366 0.5331 0.8551
0.5331 0.0366 0.3551
0.1576 0.3505 0.1666
0.3505 0.1576 0.6666
0.8460 0.9131 0.1661
0.9131 0.8460 0.6661
0.4207 0.6539 0.1688
0.6539 0.4207 0.6688
0.0283 0.8945 0.3388
0.0984 0.8229 0.6463
0.1265 0.3866 0.0008
0.1755 0.5304 0.3386
0.1779 0.3282 0.7037
0.2573 0.6259 0.0078
0.3282 0.1779 0.2037
0.3299 0.9728 0.6416
0.3866 0.1265 0.5008
0.4027 0.6671 0.3343
0.4497 0.8195 0.1960
0.4827 0.5982 0.6471
0.5304 0.1755 0.8386
0.5982 0.4827 0.1471
0.6259 0.2573 0.5078
0.6671 0.4027 0.8343
0.6769 0.9504 0.2060
0.7439 0.8858 0.5016
0.8195 0.4497 0.6960
0.8229 0.0984 0.1463
0.8858 0.7439 0.0016
0.8945 0.0283 0.8388
0.9504 0.6769 0.7060
0.9728 0.3299 0.1416
```

Most intense lines, 2θ from 10° to 80°, in order of rising 2θ:
| 2θ (°) | I_rel |
| --- | --- |
| 14.40 | 100 |
| 20.08 | 76 |
| 20.74 | 47 |
| 24.03 | 26 |
| 24.10 | 16 |
| 25.34 | 27 |
| 29.08 | 30 |
| 32.15 | 35 |

***

Record 2
Structure and calculated X-ray diffraction stick pattern of SrAl3P2O14 (a crystal structure in the Materials Project, relaxed with PBE; Cu Kα (λ = 1.5418 Å)).
Peak positions follow from Bragg's law for the DFT cell and can differ from measured ones.

```
SrAl3P2O14
1.0
3.5019 2.0218 5.7051
-3.5019 2.0218 5.7051
0.0000 -4.0436 5.7051
Sr Al P O
1 3 2 14
Direct
0.0000 0.0000 0.0000
0.0000 0.0000 0.5000
0.0000 0.5000 0.0000
0.5000 0.0000 0.0000
0.3104 0.3104 0.3104
0.6896 0.6896 0.6896
0.0890 0.7482 0.7482
0.1583 0.1583 0.5180
0.1583 0.5180 0.1583
0.2518 0.2518 0.9110
0.2518 0.9110 0.2518
0.4004 0.4004 0.4004
0.4820 0.8417 0.8417
0.5180 0.1583 0.1583
0.5996 0.5996 0.5996
0.7482 0.0890 0.7482
0.7482 0.7482 0.0890
0.8417 0.4820 0.8417
0.8417 0.8417 0.4820
0.9110 0.2518 0.2518
```

Most intense lines, 2θ from 10° to 80°, in order of rising 2θ:
| 2θ (°) | I_rel |
| --- | --- |
| 15.50 | 67 |
| 25.44 | 49 |
| 29.94 | 100 |
| 31.33 | 23 |
| 39.74 | 52 |
| 40.76 | 26 |
| 47.73 | 40 |
| 52.26 | 27 |